No. 1
MnSnPt: simulated powder XRD pattern (a wavelength of 1.5418 Å), based on DFT lattice parameters and positions (GGA-PBE).

The 5 most intense peaks (5° ≤ 2θ ≤ 70°), sorted by position:
- 2θ 24.8, I = 74
- 2θ 41.0, I = 100
- 2θ 48.5, I = 38
- 2θ 59.4, I = 17
- 2θ 65.4, I = 16

Structure:
Lattice parameters (Å, degrees): 6.222 6.222 6.222 90.00 90.00 90.00
Space group F-43m (No. 216)
One atom of each set of equivalent atoms:
Mn  0.000  0.000  0.000 [4 per cell]
Sn  0.000  0.000  0.500 [4 per cell]
Pt  0.250  0.250  0.750 [4 per cell]

No. 2
Ag3TeAs2O14: simulated powder XRD pattern (a wavelength of 1.5418 Å), based on DFT lattice parameters and positions (GGA-PBE).

The 10 most intense peaks (5° ≤ 2θ ≤ 70°), sorted by position:
- 2θ 17.5, I = 64
- 2θ 20.8, I = 34
- 2θ 22.9, I = 32
- 2θ 26.2, I = 39
- 2θ 28.9, I = 67
- 2θ 29.5, I = 27
- 2θ 31.7, I = 100
- 2θ 42.3, I = 22
- 2θ 42.5, I = 21
- 2θ 44.6, I = 29

Structure:
Lattice parameters (Å, degrees): 7.552 10.155 8.650 90.00 115.87 90.00
Space group P2_1 (No. 4)
One atom of each set of equivalent atoms:
Ag  0.007  0.000  0.017 [2 per cell]
Ag  0.030  0.996  0.457 [2 per cell]
Ag  0.431  0.004  0.451 [2 per cell]
Te  0.498  0.500  0.993 [2 per cell]
As  0.159  0.694  0.341 [2 per cell]
As  0.179  0.306  0.341 [2 per cell]
O  0.023  0.876  0.650 [2 per cell]
O  0.029  0.165  0.856 [2 per cell]
O  0.124  0.652  0.518 [2 per cell]
O  0.171  0.334  0.144 [2 per cell]
O  0.176  0.870  0.352 [2 per cell]
O  0.178  0.129  0.353 [2 per cell]
O  0.234  0.571  0.947 [2 per cell]
O  0.282  0.928  0.050 [2 per cell]
O  0.304  0.388  0.819 [2 per cell]
O  0.352  0.108  0.810 [2 per cell]
O  0.370  0.624  0.352 [2 per cell]
O  0.390  0.347  0.520 [2 per cell]
O  0.453  0.899  0.804 [2 per cell]
O  0.483  0.105  0.187 [2 per cell]

No. 3
Ba3SmIr2O9: simulated powder XRD pattern (a wavelength of 1.5418 Å), based on DFT lattice parameters and positions (GGA-PBE).

The 10 most intense peaks (5° ≤ 2θ ≤ 70°), sorted by position:
- 2θ 18.1, I = 27
- 2θ 24.8, I = 14
- 2θ 29.6, I = 57
- 2θ 29.8, I = 100
- 2θ 34.8, I = 15
- 2θ 42.5, I = 31
- 2θ 46.2, I = 16
- 2θ 52.7, I = 22
- 2θ 52.9, I = 20
- 2θ 61.9, I = 18

Structure:
Lattice parameters (Å, degrees): 5.9954 5.9954 14.8692 90.00 90.00 120.00
Space group P6_3/mmc (No. 194)
One atom of each set of equivalent atoms:
Ba  0.0000  0.0000  0.2500 [2 per cell]
Ba  0.3333  0.6667  0.0969 [4 per cell]
Sm  0.0000  0.0000  0.0000 [2 per cell]
Ir  0.3333  0.6667  0.6653 [4 per cell]
O  0.0185  0.5092  0.7500 [6 per cell]
O  0.1781  0.3561  0.5888 [12 per cell]

No. 4
MgAgF5: simulated powder XRD pattern (a wavelength of 1.5418 Å), based on DFT lattice parameters and positions (GGA-PBE).

The 10 most intense peaks (5° ≤ 2θ ≤ 70°), sorted by position:
- 2θ 18.1, I = 55
- 2θ 22.5, I = 67
- 2θ 23.7, I = 21
- 2θ 24.0, I = 19
- 2θ 25.4, I = 100
- 2θ 28.5, I = 27
- 2θ 42.7, I = 17
- 2θ 45.9, I = 21
- 2θ 48.6, I = 28
- 2θ 52.2, I = 14

Structure:
Lattice parameters (Å, degrees): 9.043 6.265 8.466 90.00 118.92 90.00
Space group C2/c (No. 15)
One atom of each set of equivalent atoms:
Mg  0.000  0.011  0.250 [4 per cell]
Ag  0.000  0.500  0.000 [4 per cell]
F  0.000  0.319  0.250 [4 per cell]
F  0.014  0.188  0.939 [8 per cell]
F  0.248  0.480  0.633 [8 per cell]